Entry 1:
For YFe6Sn6, a structure optimized by DFT (GGA-PBE) gives the simulated X-ray diffraction stick pattern in this record (a wavelength of 1.5418 Å).
Lines closer than 0.1° are merged.

Main lines, low angle first (10° ≤ 2θ ≤ 90°):
33.0°, I = 1000; 33.2°, I = 496; 38.8°, I = 890; 38.9°, I = 443; 40.1°, I = 376; 43.4°, I = 373; 43.6°, I = 719; 44.7°, I = 444; 69.2°, I = 324; 72.0°, I = 579

Structural model:
a b c (Å): 15.068 15.068 15.068
angles (deg): 159.35 145.27 40.75
Fractional coordinates of all 39 atoms:
Y 0.000 0.000 0.000
Y 0.168 0.668 0.500
Y 0.832 0.332 0.500
Fe 0.000 0.000 0.500
Fe 0.000 0.500 0.000
Fe 0.081 0.833 0.248
Fe 0.163 0.166 0.497
Fe 0.163 0.667 0.997
Fe 0.246 0.500 0.746
Fe 0.331 0.333 0.497
Fe 0.331 0.834 0.997
Fe 0.414 0.167 0.248
Fe 0.500 0.000 0.000
Fe 0.500 0.500 0.500
Fe 0.586 0.833 0.752
Fe 0.669 0.166 0.003
Fe 0.669 0.667 0.503
Fe 0.754 0.500 0.254
Fe 0.837 0.333 0.003
Fe 0.837 0.834 0.503
Fe 0.919 0.167 0.752
Sn 0.056 0.556 0.500
Sn 0.112 0.112 0.000
Sn 0.170 0.333 0.837
Sn 0.223 0.223 0.000
Sn 0.280 0.780 0.500
Sn 0.336 0.000 0.336
Sn 0.390 0.890 0.500
Sn 0.445 0.445 0.000
Sn 0.497 0.333 0.163
Sn 0.503 0.667 0.837
Sn 0.555 0.555 0.000
Sn 0.610 0.110 0.500
Sn 0.664 0.000 0.664
Sn 0.720 0.220 0.500
Sn 0.777 0.777 0.000
Sn 0.830 0.667 0.163
Sn 0.888 0.888 0.000
Sn 0.944 0.444 0.500

Entry 2:
For MoW3Se2S6, a structure optimized by DFT (GGA-PBE) gives the simulated X-ray diffraction stick pattern in this record (a wavelength of 1.5418 Å).
Lines closer than 0.1° are merged.

Main lines, low angle first (10° ≤ 2θ ≤ 90°):
12.2°, I = 1000; 14.6°, I = 225; 32.1°, I = 212; 32.9°, I = 154; 34.4°, I = 153; 37.8°, I = 547; 45.9°, I = 308; 47.8°, I = 104; 57.2°, I = 160; 58.7°, I = 107

Structural model:
a b c (Å): 3.222 3.222 36.378
angles (deg): 90.00 90.00 120.00
Fractional coordinates of all 12 atoms:
Mo 0.000 0.000 0.000
W 0.000 0.000 0.376
W 0.667 0.333 0.188
W 0.667 0.333 0.812
Se 0.667 0.333 0.328
Se 0.667 0.333 0.423
S 0.000 0.000 0.145
S 0.000 0.000 0.231
S 0.000 0.000 0.769
S 0.000 0.000 0.855
S 0.667 0.333 0.043
S 0.667 0.333 0.957

Entry 3:
For Na3YB2O6, a structure optimized by DFT (GGA-PBE) gives the simulated X-ray diffraction stick pattern in this record (a wavelength of 1.5418 Å).
Lines closer than 0.1° are merged.

Main lines, low angle first (10° ≤ 2θ ≤ 90°):
13.2°, I = 391; 15.3°, I = 1000; 16.3°, I = 705; 22.3°, I = 669; 24.7°, I = 396; 27.0°, I = 684; 32.6°, I = 507; 35.3°, I = 449; 35.6°, I = 444; 40.5°, I = 407

Structural model:
a b c (Å): 6.616 8.598 12.153
angles (deg): 90.00 118.88 90.00
Fractional coordinates of all 48 atoms:
Na 0.059 0.204 0.072
Na 0.059 0.296 0.572
Na 0.328 0.555 0.116
Na 0.328 0.945 0.616
Na 0.399 0.702 0.383
Na 0.399 0.798 0.883
Na 0.601 0.202 0.117
Na 0.601 0.298 0.617
Na 0.672 0.055 0.384
Na 0.672 0.445 0.884
Na 0.941 0.704 0.428
Na 0.941 0.796 0.928
Y 0.094 0.127 0.829
Y 0.094 0.373 0.329
Y 0.906 0.627 0.671
Y 0.906 0.873 0.171
B 0.166 0.059 0.380
B 0.166 0.441 0.880
B 0.365 0.589 0.625
B 0.365 0.911 0.125
B 0.635 0.089 0.875
B 0.635 0.411 0.375
B 0.834 0.559 0.120
B 0.834 0.941 0.620
O 0.069 0.118 0.257
O 0.069 0.382 0.757
O 0.146 0.599 0.894
O 0.146 0.901 0.394
O 0.240 0.688 0.660
O 0.240 0.812 0.160
O 0.253 0.506 0.513
O 0.253 0.994 0.013
O 0.263 0.164 0.478
O 0.263 0.336 0.978
O 0.397 0.070 0.799
O 0.397 0.430 0.299
O 0.603 0.570 0.701
O 0.603 0.930 0.201
O 0.737 0.664 0.022
O 0.737 0.836 0.522
O 0.747 0.006 0.987
O 0.747 0.494 0.487
O 0.760 0.188 0.840
O 0.760 0.312 0.340
O 0.854 0.099 0.606
O 0.854 0.401 0.106
O 0.931 0.618 0.243
O 0.931 0.882 0.743

Entry 4:
For SmIn3, a structure optimized by DFT (GGA-PBE) gives the simulated X-ray diffraction stick pattern in this record (a wavelength of 1.5418 Å).
Lines closer than 0.1° are merged.

Main lines, low angle first (10° ≤ 2θ ≤ 90°):
19.0°, I = 12; 26.9°, I = 11; 33.1°, I = 1000; 38.5°, I = 498; 43.2°, I = 6; 47.6°, I = 5; 55.5°, I = 335; 66.2°, I = 389; 69.6°, I = 112; 82.4°, I = 53

Structural model:
a b c (Å): 4.681 4.681 4.681
angles (deg): 90.00 90.00 90.00
Fractional coordinates of all 4 atoms:
Sm 0.000 0.000 0.000
In 0.000 0.500 0.500
In 0.500 0.000 0.500
In 0.500 0.500 0.000

Entry 5:
For Er2Al, a structure optimized by DFT (GGA-PBE) gives the simulated X-ray diffraction stick pattern in this record (a wavelength of 1.5418 Å).
Lines closer than 0.1° are merged.

Main lines, low angle first (10° ≤ 2θ ≤ 90°):
23.5°, I = 309; 24.2°, I = 599; 29.4°, I = 436; 32.6°, I = 417; 33.5°, I = 513; 33.9°, I = 1000; 34.1°, I = 965; 35.5°, I = 600; 49.6°, I = 350; 61.1°, I = 323

Structural model:
a b c (Å): 6.535 5.059 9.317
angles (deg): 90.00 90.00 90.00
Fractional coordinates of all 12 atoms:
Er 0.030 0.250 0.210
Er 0.189 0.250 0.570
Er 0.311 0.750 0.070
Er 0.470 0.750 0.710
Er 0.530 0.250 0.290
Er 0.689 0.250 0.930
Er 0.811 0.750 0.430
Er 0.970 0.750 0.790
Al 0.213 0.250 0.895
Al 0.287 0.750 0.395
Al 0.713 0.250 0.605
Al 0.787 0.750 0.105

Entry 6:
For ZrPd3F6, a structure optimized by DFT (GGA-PBE) gives the simulated X-ray diffraction stick pattern in this record (a wavelength of 1.5418 Å).
Lines closer than 0.1° are merged.

Main lines, low angle first (10° ≤ 2θ ≤ 90°):
11.7°, I = 1000; 16.5°, I = 242; 18.2°, I = 271; 19.2°, I = 210; 20.3°, I = 177; 23.5°, I = 443; 27.2°, I = 262; 33.4°, I = 142; 36.9°, I = 162; 38.0°, I = 129

Structural model:
a b c (Å): 5.263 6.874 8.060
angles (deg): 77.17 71.46 74.45
Fractional coordinates of all 10 atoms:
Zr 0.000 0.000 0.000
Pd 0.000 0.000 0.500
Pd 0.000 0.500 0.000
Pd 0.500 0.500 0.000
F 0.002 0.929 0.766
F 0.161 0.250 0.857
F 0.388 0.822 0.982
F 0.612 0.178 0.018
F 0.839 0.750 0.143
F 0.998 0.071 0.234